# La12PrTm5
Simulated powder X-ray diffraction pattern, a wavelength of 1.5418 Å. Input: a PBE-relaxed structure.
No peak broadening, texture or thermal motion is included.

Peak list (10 most intense, 10 to 80 degrees two-theta, by angle)
2θ 29.8, I 100; 2θ 30.0, I 98; 2θ 34.4, I 34; 2θ 34.7, I 66; 2θ 49.7, I 60; 2θ 58.8, I 15; 2θ 58.9, I 14; 2θ 59.1, I 29; 2θ 59.4, I 28; 2θ 62.3, I 12

Atomic structure:
Lattice parameters (Å, degrees): 10.987 10.987 6.365 106.60 106.60 59.54
Atoms (fractional coordinates):
La 0.003 0.663 0.166
La 0.162 0.503 0.664
La 0.167 0.833 0.000
La 0.328 0.672 0.500
La 0.337 0.997 0.834
La 0.497 0.838 0.336
La 0.503 0.162 0.664
La 0.663 0.003 0.166
La 0.672 0.328 0.500
La 0.833 0.167 0.000
La 0.838 0.497 0.336
La 0.997 0.337 0.834
Pr 0.500 0.500 0.000
Tm 0.000 0.000 0.500
Tm 0.167 0.167 0.335
Tm 0.332 0.332 0.168
Tm 0.668 0.668 0.832
Tm 0.833 0.833 0.665

---

# Tb3Sm4Sc4
Simulated powder X-ray diffraction pattern, a wavelength of 1.5418 Å. Input: a PBE-relaxed structure.
No peak broadening, texture or thermal motion is included.

Peak list (10 most intense, 10 to 80 degrees two-theta, by angle)
2θ 17.8, I 16; 2θ 24.9, I 24; 2θ 29.3, I 20; 2θ 31.7, I 55; 2θ 32.5, I 40; 2θ 33.0, I 100; 2θ 34.9, I 15; 2θ 46.0, I 13; 2θ 58.3, I 20; 2θ 63.9, I 14

Atomic structure:
Lattice parameters (Å, degrees): 10.285 6.498 6.498 50.15 90.00 90.00
Atoms (fractional coordinates):
Tb 0.000 0.000 0.000
Tb 0.310 0.138 0.138
Tb 0.690 0.138 0.138
Sm 0.000 0.296 0.296
Sm 0.279 0.837 0.837
Sm 0.500 0.380 0.380
Sm 0.721 0.837 0.837
Sc 0.000 0.689 0.689
Sc 0.212 0.507 0.507
Sc 0.500 0.639 0.639
Sc 0.788 0.507 0.507

---

# SrHgAs
Simulated powder X-ray diffraction pattern, a wavelength of 1.5418 Å. Input: a PBE-relaxed structure.
No peak broadening, texture or thermal motion is included.

Peak list (10 most intense, 10 to 80 degrees two-theta, by angle)
2θ 12.7, I 100; 2θ 23.9, I 21; 2θ 25.4, I 82; 2θ 32.6, I 80; 2θ 32.9, I 32; 2θ 33.3, I 43; 2θ 34.5, I 67; 2θ 38.2, I 61; 2θ 39.3, I 43; 2θ 52.4, I 29

Atomic structure:
Lattice parameters (Å, degrees): 10.926 4.589 7.066 90.00 99.76 90.00
Atoms (fractional coordinates):
Sr 0.120 0.000 0.281
Sr 0.380 0.500 0.719
Sr 0.620 0.500 0.281
Sr 0.880 0.000 0.719
Hg 0.110 0.500 0.916
Hg 0.390 0.000 0.084
Hg 0.610 0.000 0.916
Hg 0.890 0.500 0.084
As 0.177 0.000 0.733
As 0.323 0.500 0.267
As 0.677 0.500 0.733
As 0.823 0.000 0.267

---

# BeIn2PbAu5
Simulated powder X-ray diffraction pattern, a wavelength of 1.5418 Å. Input: a PBE-relaxed structure.
No peak broadening, texture or thermal motion is included.

Peak list (10 most intense, 10 to 80 degrees two-theta, by angle)
2θ 26.8, I 67; 2θ 36.6, I 100; 2θ 36.9, I 63; 2θ 39.0, I 42; 2θ 39.5, I 66; 2θ 56.7, I 46; 2θ 58.3, I 16; 2θ 69.1, I 16; 2θ 70.0, I 15; 2θ 75.0, I 16

Atomic structure:
Lattice parameters (Å, degrees): 8.098 8.098 8.098 146.86 137.09 55.27
Atoms (fractional coordinates):
Be 0.000 0.000 0.000
In 0.204 0.704 0.500
In 0.796 0.296 0.500
Pb 0.500 0.500 0.000
Au 0.000 0.500 0.500
Au 0.129 0.873 0.256
Au 0.383 0.127 0.256
Au 0.617 0.873 0.744
Au 0.871 0.127 0.744

---

# HfGe3Rh2
Simulated powder X-ray diffraction pattern, a wavelength of 1.5418 Å. Input: a PBE-relaxed structure.
No peak broadening, texture or thermal motion is included.

Peak list (10 most intense, 10 to 80 degrees two-theta, by angle)
2θ 25.0, I 20; 2θ 31.8, I 23; 2θ 32.9, I 25; 2θ 33.9, I 25; 2θ 39.8, I 100; 2θ 40.7, I 20; 2θ 41.8, I 30; 2θ 43.2, I 17; 2θ 44.8, I 27; 2θ 47.6, I 32

Atomic structure:
Lattice parameters (Å, degrees): 3.823 9.851 5.444 90.00 90.00 90.00
Atoms (fractional coordinates):
Hf 0.000 0.114 0.000
Hf 0.000 0.886 0.500
Ge 0.000 0.406 0.834
Ge 0.000 0.594 0.334
Ge 0.500 0.076 0.602
Ge 0.500 0.291 0.202
Ge 0.500 0.709 0.702
Ge 0.500 0.924 0.102
Rh 0.000 0.221 0.516
Rh 0.000 0.779 0.016
Rh 0.500 0.464 0.529
Rh 0.500 0.536 0.029

---

# MgRhI
Simulated powder X-ray diffraction pattern, a wavelength of 1.5418 Å. Input: a PBE-relaxed structure.
No peak broadening, texture or thermal motion is included.

Peak list (10 most intense, 10 to 80 degrees two-theta, by angle)
2θ 10.0, I 100; 2θ 20.1, I 39; 2θ 23.4, I 51; 2θ 25.7, I 25; 2θ 26.1, I 41; 2θ 29.3, I 23; 2θ 30.3, I 40; 2θ 39.3, I 72; 2θ 39.7, I 52; 2θ 43.1, I 29

Atomic structure:
Lattice parameters (Å, degrees): 4.232 4.201 9.061 90.00 102.68 90.00
Atoms (fractional coordinates):
Mg 0.000 0.000 0.000
Mg 0.486 0.500 0.015
Rh 0.432 0.000 0.803
Rh 0.889 0.500 0.827
I 0.256 0.500 0.626
I 0.557 0.000 0.263

---

# Ti3Sn2
Simulated powder X-ray diffraction pattern, a wavelength of 1.5418 Å. Input: a PBE-relaxed structure.
No peak broadening, texture or thermal motion is included.

Peak list (10 most intense, 10 to 80 degrees two-theta, by angle)
2θ 22.6, I 32; 2θ 32.7, I 17; 2θ 37.6, I 100; 2θ 38.3, I 97; 2θ 44.9, I 6; 2θ 53.9, I 6; 2θ 54.7, I 33; 2θ 67.4, I 17; 2θ 68.8, I 33; 2θ 69.2, I 17

Atomic structure:
Lattice parameters (Å, degrees): 4.702 4.702 14.777 90.00 90.00 120.00
Atoms (fractional coordinates):
Ti 0.000 0.000 0.000
Ti 0.000 0.000 0.192
Ti 0.000 0.000 0.808
Ti 0.333 0.667 0.474
Ti 0.333 0.667 0.667
Ti 0.333 0.667 0.859
Ti 0.667 0.333 0.141
Ti 0.667 0.333 0.333
Ti 0.667 0.333 0.526
Sn 0.000 0.000 0.402
Sn 0.000 0.000 0.598
Sn 0.333 0.667 0.068
Sn 0.333 0.667 0.265
Sn 0.667 0.333 0.735
Sn 0.667 0.333 0.932

---

# HoEr3Si4
Simulated powder X-ray diffraction pattern, a wavelength of 1.5418 Å. Input: a PBE-relaxed structure.
No peak broadening, texture or thermal motion is included.

Peak list (10 most intense, 10 to 80 degrees two-theta, by angle)
2θ 22.4, I 18; 2θ 28.7, I 25; 2θ 29.3, I 100; 2θ 32.4, I 14; 2θ 35.7, I 17; 2θ 37.2, I 17; 2θ 41.0, I 14; 2θ 51.2, I 20; 2θ 55.1, I 18; 2θ 70.9, I 16

Atomic structure:
Lattice parameters (Å, degrees): 3.930 6.214 15.431 90.00 90.00 90.00
Atoms (fractional coordinates):
Ho 0.000 0.000 0.000
Ho 0.500 0.500 0.500
Er 0.000 0.000 0.500
Er 0.000 0.500 0.306
Er 0.000 0.500 0.694
Er 0.500 0.000 0.194
Er 0.500 0.000 0.806
Er 0.500 0.500 0.000
Si 0.000 0.313 0.132
Si 0.000 0.313 0.868
Si 0.000 0.687 0.132
Si 0.000 0.687 0.868
Si 0.500 0.187 0.368
Si 0.500 0.187 0.632
Si 0.500 0.813 0.368
Si 0.500 0.813 0.632

---

# Rb6MgSe4
Simulated powder X-ray diffraction pattern, a wavelength of 1.5418 Å. Input: a PBE-relaxed structure.
No peak broadening, texture or thermal motion is included.

Peak list (10 most intense, 10 to 80 degrees two-theta, by angle)
2θ 27.4, I 74; 2θ 28.6, I 100; 2θ 30.6, I 43; 2θ 33.2, I 19; 2θ 33.3, I 71; 2θ 33.4, I 23; 2θ 37.4, I 23; 2θ 50.1, I 18; 2θ 53.9, I 25; 2θ 63.2, I 16

Atomic structure:
Lattice parameters (Å, degrees): 10.774 10.774 8.408 90.00 90.00 120.00
Atoms (fractional coordinates):
Rb 0.059 0.530 0.000
Rb 0.147 0.294 0.678
Rb 0.147 0.853 0.678
Rb 0.294 0.147 0.178
Rb 0.470 0.530 0.000
Rb 0.470 0.941 0.000
Rb 0.530 0.059 0.500
Rb 0.530 0.470 0.500
Rb 0.706 0.853 0.678
Rb 0.853 0.147 0.178
Rb 0.853 0.706 0.178
Rb 0.941 0.470 0.500
Mg 0.333 0.667 0.386
Mg 0.667 0.333 0.886
Se 0.198 0.395 0.288
Se 0.198 0.802 0.288
Se 0.333 0.667 0.703
Se 0.395 0.198 0.788
Se 0.605 0.802 0.288
Se 0.667 0.333 0.203
Se 0.802 0.198 0.788
Se 0.802 0.605 0.788

---

Q: Which formula does entry 4 have?
A: BeIn2PbAu5

---

Repeat the second record exactly.
# Tb3Sm4Sc4
Simulated powder X-ray diffraction pattern, a wavelength of 1.5418 Å. Input: a PBE-relaxed structure.
No peak broadening, texture or thermal motion is included.

Peak list (10 most intense, 10 to 80 degrees two-theta, by angle)
2θ 17.8, I 16; 2θ 24.9, I 24; 2θ 29.3, I 20; 2θ 31.7, I 55; 2θ 32.5, I 40; 2θ 33.0, I 100; 2θ 34.9, I 15; 2θ 46.0, I 13; 2θ 58.3, I 20; 2θ 63.9, I 14

Atomic structure:
Lattice parameters (Å, degrees): 10.285 6.498 6.498 50.15 90.00 90.00
Atoms (fractional coordinates):
Tb 0.000 0.000 0.000
Tb 0.310 0.138 0.138
Tb 0.690 0.138 0.138
Sm 0.000 0.296 0.296
Sm 0.279 0.837 0.837
Sm 0.500 0.380 0.380
Sm 0.721 0.837 0.837
Sc 0.000 0.689 0.689
Sc 0.212 0.507 0.507
Sc 0.500 0.639 0.639
Sc 0.788 0.507 0.507